K2MgCo3F12: calculated X-ray powder pattern (Cu Ka), based on a DFT-relaxed cell (PBE+U, Alexandria).

Largest 10 diffraction maxima, most intense first, 2θ from 10° to 90°:
2θ (°)	d [Å]	I_rel
28.6	3.116	100.0
28.9	3.090	90.7
30.0	2.975	73.3
15.4	5.771	72.1
14.9	5.950	66.2
49.9	1.829	61.1
51.1	1.787	53.1
29.4	3.038	40.1
45.7	1.983	38.8
31.0	2.885	22.9

Structure:
a = 7.1514 Å, b = 7.1514 Å, c = 7.1514 Å
α = 61.53°, β = 61.53°, γ = 61.53°
Sites, in units of the cell vectors:
K: 0.1260 0.1260 0.1260
K: 0.8740 0.8740 0.8740
Mg: 0.5000 0.5000 0.5000
Co: 0.0000 0.5000 0.5000
Co: 0.5000 0.0000 0.5000
Co: 0.5000 0.5000 0.0000
F: 0.1723 0.5733 0.5733
F: 0.1779 0.1779 0.5738
F: 0.1779 0.5738 0.1779
F: 0.4262 0.8221 0.8221
F: 0.4267 0.4267 0.8277
F: 0.4267 0.8277 0.4267
F: 0.5733 0.1723 0.5733
F: 0.5733 0.5733 0.1723
F: 0.5738 0.1779 0.1779
F: 0.8221 0.4262 0.8221
F: 0.8221 0.8221 0.4262
F: 0.8277 0.4267 0.4267